(1)
Diffraction record for Sc16O15. The powder X-ray diffraction pattern is calculated, not measured: it uses a crystal structure in the Materials Project, relaxed with PBE and a wavelength of 1.5418 Å.
Lines closer than 0.1° are merged.

Principal peaks in the range 2θ from 10° to 90°, low angle first:
2θ/deg	Rel. int.
34.63	49
40.21	100
58.17	57
69.48	14
69.55	5
72.94	4
73.11	13
86.85	8

Atomic structure:
Unit cell a=11.0027 b=11.0027 c=11.0027 alpha=33.49 beta=33.49 gamma=33.49
Fractional positions:
Sc: 0.1246 0.1246 0.1246
Sc: 0.1253 0.6244 0.6244
Sc: 0.1263 0.1263 0.6215
Sc: 0.1263 0.6215 0.1263
Sc: 0.3748 0.3748 0.3748
Sc: 0.3756 0.3756 0.8747
Sc: 0.3756 0.8747 0.3756
Sc: 0.3785 0.8737 0.8737
Sc: 0.6215 0.1263 0.1263
Sc: 0.6244 0.1253 0.6244
Sc: 0.6244 0.6244 0.1253
Sc: 0.6252 0.6252 0.6252
Sc: 0.8737 0.3785 0.8737
Sc: 0.8737 0.8737 0.3785
Sc: 0.8747 0.3756 0.3756
Sc: 0.8754 0.8754 0.8754
O: 0.0000 0.0000 0.5000
O: 0.0000 0.5000 0.0000
O: 0.0000 0.5000 0.5000
O: 0.2496 0.2496 0.2496
O: 0.2510 0.2510 0.7490
O: 0.2510 0.7490 0.2510
O: 0.2510 0.7490 0.7490
O: 0.5000 0.0000 0.0000
O: 0.5000 0.0000 0.5000
O: 0.5000 0.5000 0.0000
O: 0.5000 0.5000 0.5000
O: 0.7490 0.2510 0.2510
O: 0.7490 0.2510 0.7490
O: 0.7490 0.7490 0.2510
O: 0.7504 0.7504 0.7504

=====

(2)
Diffraction record for NaBeO3. The powder X-ray diffraction pattern is calculated, not measured: it uses a crystal structure in the Materials Project, relaxed with PBE and a wavelength of 1.5418 Å.
Lines closer than 0.1° are merged.

Principal peaks in the range 2θ from 10° to 90°, low angle first:
2θ/deg	Rel. int.
35.37	13
43.68	100
50.88	60
63.48	6
74.82	29
85.56	2

Atomic structure:
Unit cell a=3.5894 b=3.5894 c=3.5894 alpha=90.00 beta=90.00 gamma=90.00
Fractional positions:
Na: 0.0000 0.0000 0.0000
Be: 0.5000 0.5000 0.5000
O: 0.0000 0.5000 0.5000
O: 0.5000 0.0000 0.5000
O: 0.5000 0.5000 0.0000

=====

(3)
Diffraction record for MgTi4Zn2O10. The powder X-ray diffraction pattern is calculated, not measured: it uses a crystal structure in the Materials Project, relaxed with PBE and a wavelength of 1.5418 Å.
Lines closer than 0.1° are merged.

Principal peaks in the range 2θ from 10° to 90°, low angle first:
2θ/deg	Rel. int.
16.08	45
17.45	79
23.82	90
24.22	100
30.01	84
34.52	100
35.89	68
46.06	70

Atomic structure:
Unit cell a=11.0207 b=5.4515 c=5.4515 alpha=42.38 beta=90.00 gamma=90.00
Fractional positions:
Mg: 0.0000 0.0000 0.0000
Ti: 0.1581 0.6512 0.6512
Ti: 0.3434 0.1955 0.1955
Ti: 0.6566 0.1955 0.1955
Ti: 0.8419 0.6512 0.6512
Zn: 0.0000 0.3176 0.3176
Zn: 0.5000 0.4995 0.4995
O: 0.0000 0.7850 0.7850
O: 0.1121 0.4827 0.4827
O: 0.1468 0.1709 0.1709
O: 0.3333 0.6535 0.6535
O: 0.3711 0.3605 0.3605
O: 0.5000 0.0933 0.0933
O: 0.6289 0.3605 0.3605
O: 0.6667 0.6535 0.6535
O: 0.8532 0.1709 0.1709
O: 0.8879 0.4827 0.4827